(1)
Structure and computed powder X-ray diffraction pattern of Rb5TmO4 (the GGA-PBE geometry in Alexandria; copper Kα).

Crystal structure
Unit cell a=8.491 b=9.116 c=6.648 alpha=90.00 beta=90.00 gamma=90.00
Positions (direct):
1 Rb 0.013 0.061 0.241
2 Rb 0.013 0.439 0.241
3 Rb 0.250 0.750 0.329
4 Rb 0.487 0.061 0.241
5 Rb 0.487 0.439 0.241
6 Rb 0.513 0.561 0.759
7 Rb 0.513 0.939 0.759
8 Rb 0.750 0.250 0.671
9 Rb 0.987 0.561 0.759
10 Rb 0.987 0.939 0.759
11 Tm 0.250 0.250 0.713
12 Tm 0.750 0.750 0.287
13 O 0.036 0.250 0.884
14 O 0.250 0.051 0.539
15 O 0.250 0.449 0.539
16 O 0.464 0.250 0.884
17 O 0.536 0.750 0.116
18 O 0.750 0.551 0.461
19 O 0.750 0.949 0.461
20 O 0.964 0.750 0.116

The 8 most intense peaks (2θ = 15–90°), sorted by position:
2θ/deg  Rel. int.
16.5  16
26.8  100
28.7  44
32.4  54
39.7  41
51.0  20
54.5  22
56.7  20

=====

(2)
Structure and computed powder X-ray diffraction pattern of Rb2U2O7 (the GGA-PBE geometry in Alexandria; copper Kα).

Crystal structure
Unit cell a=7.017 b=4.080 c=7.492 alpha=90.00 beta=108.11 gamma=90.00
Positions (direct):
1 Rb 0.000 0.000 0.000
2 Rb 0.492 0.500 0.980
3 U 0.520 0.000 0.492
4 U 0.982 0.500 0.497
5 O 0.074 0.500 0.766
6 O 0.293 0.500 0.502
7 O 0.421 0.000 0.230
8 O 0.597 0.000 0.753
9 O 0.652 0.500 0.485
10 O 0.878 0.000 0.502
11 O 0.900 0.500 0.229

The 8 most intense peaks (2θ = 15–90°), sorted by position:
2θ/deg  Rel. int.
25.0  55
26.6  100
26.7  49
30.4  56
30.5  27
42.5  38
44.7  30
51.9  27

=====

(3)
Structure and computed powder X-ray diffraction pattern of Rb3U4O12 (the GGA-PBE geometry in Alexandria; copper Kα).

Crystal structure
Unit cell a=7.472 b=7.472 c=7.472 alpha=109.47 beta=109.47 gamma=109.47
Positions (direct):
1 Rb 0.000 0.500 0.500
2 Rb 0.500 0.000 0.500
3 Rb 0.500 0.500 0.000
4 U 0.000 0.000 0.500
5 U 0.000 0.500 0.000
6 U 0.500 0.000 0.000
7 U 0.500 0.500 0.500
8 O 0.000 0.254 0.746
9 O 0.000 0.746 0.254
10 O 0.254 0.000 0.746
11 O 0.254 0.254 0.507
12 O 0.254 0.507 0.254
13 O 0.254 0.746 0.000
14 O 0.493 0.746 0.746
15 O 0.507 0.254 0.254
16 O 0.746 0.000 0.254
17 O 0.746 0.254 0.000
18 O 0.746 0.493 0.746
19 O 0.746 0.746 0.493

The 8 most intense peaks (2θ = 15–90°), sorted by position:
2θ/deg  Rel. int.
20.6  49
29.3  100
41.9  29
47.1  24
51.9  43
60.7  19
68.8  19
83.9  24

=====

(4)
Structure and computed powder X-ray diffraction pattern of Rb3UO4 (the GGA-PBE geometry in Alexandria; copper Kα).

Crystal structure
Unit cell a=7.073 b=7.073 c=7.073 alpha=136.73 beta=121.36 gamma=75.61
Positions (direct):
1 Rb 0.000 0.000 0.000
2 Rb 0.220 0.720 0.500
3 Rb 0.780 0.280 0.500
4 U 0.500 0.500 0.000
5 O 0.218 0.500 0.718
6 O 0.322 0.322 0.000
7 O 0.678 0.678 0.000
8 O 0.782 0.500 0.282

The 8 most intense peaks (2θ = 15–90°), sorted by position:
2θ/deg  Rel. int.
18.8  29
25.7  33
26.7  100
32.0  25
34.4  20
41.5  13
43.4  16
45.9  26

=====

(5)
Structure and computed powder X-ray diffraction pattern of Rb2U2O7 (the GGA-PBE geometry in Alexandria; copper Kα).

Crystal structure
Unit cell a=6.972 b=7.542 c=8.116 alpha=73.96 beta=88.79 gamma=80.55
Positions (direct):
1 Rb 0.237 0.496 0.378
2 Rb 0.259 0.488 0.873
3 Rb 0.741 0.512 0.127
4 Rb 0.763 0.504 0.622
5 U 0.000 0.000 0.000
6 U 0.000 0.000 0.500
7 U 0.470 0.995 0.263
8 U 0.530 0.005 0.737
9 O 0.051 0.735 0.057
10 O 0.053 0.735 0.577
11 O 0.132 0.988 0.252
12 O 0.306 0.013 0.928
13 O 0.312 0.011 0.536
14 O 0.430 0.257 0.191
15 O 0.487 0.267 0.671
16 O 0.513 0.733 0.329
17 O 0.570 0.743 0.809
18 O 0.688 0.989 0.464
19 O 0.694 0.987 0.072
20 O 0.868 0.012 0.748
21 O 0.947 0.265 0.423
22 O 0.949 0.265 0.943

The 8 most intense peaks (2θ = 15–90°), sorted by position:
2θ/deg  Rel. int.
24.9  100
26.0  42
26.6  95
26.9  85
27.0  86
30.2  54
30.7  93
42.4  46

=====

(6)
Structure and computed powder X-ray diffraction pattern of Rb2U2O7 (the GGA-PBE geometry in Alexandria; copper Kα).

Crystal structure
Unit cell a=7.511 b=8.117 c=7.010 alpha=90.00 beta=108.27 gamma=90.00
Positions (direct):
1 Rb 0.007 0.122 0.269
2 Rb 0.007 0.378 0.769
3 Rb 0.993 0.622 0.231
4 Rb 0.993 0.878 0.731
5 U 0.495 0.620 0.724
6 U 0.495 0.880 0.224
7 U 0.505 0.120 0.776
8 U 0.505 0.380 0.276
9 O 0.231 0.621 0.636
10 O 0.231 0.879 0.136
11 O 0.240 0.132 0.689
12 O 0.240 0.368 0.189
13 O 0.491 0.639 0.394
14 O 0.491 0.861 0.894
15 O 0.500 0.000 0.500
16 O 0.500 0.500 0.000
17 O 0.509 0.139 0.106
18 O 0.509 0.361 0.606
19 O 0.760 0.632 0.811
20 O 0.760 0.868 0.311
21 O 0.769 0.121 0.864
22 O 0.769 0.379 0.364

The 8 most intense peaks (2θ = 15–90°), sorted by position:
2θ/deg  Rel. int.
25.0  38
25.7  26
26.7  100
30.5  56
42.5  18
44.7  29
51.9  18
52.9  14